Starting from a DFT-relaxed cell (GGA+U, Alexandria), the XRD peak list of Sr2CaPr2Fe2Ru2O12 was computed for Cu Kα, 1.54184 Å.
Neutral-atom scattering factors, no anomalous dispersion.

Structure:
```
21
Lattice="5.9423 0.0000 0.0000 0.7388 6.2540 0.0000 0.2867 0.1564 7.7454" Properties=species:S:1:pos:R:3 pbc="T T T"
Sr 0.0000 0.0000 0.0000
Sr 3.1414 4.0536 3.8348
Ca 4.0156 4.8492 0.6477
Pr 2.4124 2.9257 7.2713
Pr 5.9574 0.9730 3.8679
Fe 3.0821 1.0812 2.1255
Fe 5.6948 3.7455 5.6393
Ru 3.1153 0.5154 5.7366
Ru 6.2354 3.5855 1.9851
O 0.7314 3.3572 3.9368
O 1.2929 1.4593 5.9572
O 1.1748 1.7268 1.6132
O 2.0353 4.4066 1.5290
O 3.0085 5.0208 6.3313
O 2.4108 0.2973 3.8342
O 3.3494 0.7358 0.0399
O 4.1836 2.2600 5.3361
O 4.5343 2.5543 2.3131
O 5.5826 5.7706 5.4852
O 5.4987 5.5103 2.2705
O 6.1176 3.8721 7.6346
```

Most intense lines, 2θ = 5–70°, in order of rising 2θ:
(1 0 1), 2θ = 18.59°, rel. 38.4; (0 2 0), 2θ = 28.55°, rel. 46.4; (1 1 2), 2θ = 29.63°, rel. 31.4; (2 0 0), 2θ = 30.31°, rel. 52.5; (0 2 1), 2θ = 30.62°, rel. 39.2; (1 1 -2), 2θ = 30.89°, rel. 78.6; (1 -1 2), 2θ = 31.76°, rel. 72.8; (-1 1 2), 2θ = 32.09°, rel. 100.0; (1 1 3), 2θ = 39.39°, rel. 32.4; (0 0 4), 2θ = 46.92°, rel. 31.7